Record 1
For Y5Ir3, a structure optimized by DFT (PBE) gives the theoretical powder diffraction line list in this record (a wavelength of 1.5418 Å).
Lines closer than 0.1° are merged.

Structural model:
```
Y5Ir3
1.0
10.935 0.000 0.000
0.000 10.935 0.000
0.000 0.000 6.396
Y Ir
20 12
Direct
0.042 0.162 0.119
0.042 0.338 0.619
0.162 0.042 0.619
0.162 0.458 0.119
0.250 0.750 0.000
0.250 0.750 0.500
0.338 0.042 0.119
0.338 0.458 0.619
0.458 0.162 0.619
0.458 0.338 0.119
0.542 0.662 0.881
0.542 0.838 0.381
0.662 0.542 0.381
0.662 0.958 0.881
0.750 0.250 0.000
0.750 0.250 0.500
0.838 0.542 0.881
0.838 0.958 0.381
0.958 0.662 0.381
0.958 0.838 0.881
0.096 0.596 0.750
0.096 0.904 0.250
0.250 0.250 0.373
0.250 0.250 0.873
0.404 0.596 0.250
0.404 0.904 0.750
0.596 0.096 0.250
0.596 0.404 0.750
0.750 0.750 0.127
0.750 0.750 0.627
0.904 0.096 0.750
0.904 0.404 0.250
```

Peak list (10 most intense, 10 to 90 degrees two-theta, low angle first)
- 2θ = 22.89°, 3.885 Å, rel. 59.1
- 2θ = 25.76°, 3.458 Å, rel. 17.3
- 2θ = 29.36°, 3.042 Å, rel. 22.2
- 2θ = 32.68°, 2.740 Å, rel. 27.1
- 2θ = 33.48°, 2.676 Å, rel. 44.9
- 2θ = 36.72°, 2.447 Å, rel. 100.0
- 2θ = 37.41°, 2.404 Å, rel. 20.3
- 2θ = 38.34°, 2.348 Å, rel. 33.5
- 2θ = 46.47°, 1.954 Å, rel. 28.1
- 2θ = 46.96°, 1.935 Å, rel. 32.1

Record 2
For Ce2Co4Si, a structure optimized by DFT (PBE) gives the theoretical powder diffraction line list in this record (a wavelength of 1.5418 Å).
Lines closer than 0.1° are merged.

Structural model:
```
Ce2Co4Si
1.0
0.000 3.944 4.050
3.716 0.000 4.050
3.716 3.944 0.000
Ce Co Si
2 4 1
Direct
0.250 0.250 0.250
0.750 0.750 0.750
0.199 0.801 0.801
0.227 0.227 0.773
0.773 0.773 0.227
0.801 0.199 0.199
0.500 0.500 0.500
```

Peak list (10 most intense, 10 to 90 degrees two-theta, low angle first)
- 2θ = 21.95°, 4.050 Å, rel. 32.3
- 2θ = 23.95°, 3.716 Å, rel. 22.1
- 2θ = 31.67°, 2.825 Å, rel. 42.4
- 2θ = 33.12°, 2.705 Å, rel. 42.4
- 2θ = 40.09°, 2.249 Å, rel. 100.0
- 2θ = 44.76°, 2.025 Å, rel. 23.6
- 2θ = 46.03°, 1.972 Å, rel. 23.3
- 2θ = 51.39°, 1.778 Å, rel. 13.7
- 2θ = 56.80°, 1.621 Å, rel. 15.8
- 2θ = 66.15°, 1.413 Å, rel. 14.0

Record 3
For Ta2MnZn, a structure optimized by DFT (PBE) gives the theoretical powder diffraction line list in this record (a wavelength of 1.5418 Å).
Lines closer than 0.1° are merged.

Structural model:
```
Ta2MnZn
1.0
5.004 -1.552 0.000
5.004 1.552 0.000
-1.908 0.000 3.995
Ta Mn Zn
2 1 1
Direct
0.000 0.000 0.000
0.226 0.226 0.729
0.718 0.718 0.228
0.450 0.450 0.449
```

Peak list (10 most intense, 10 to 90 degrees two-theta, low angle first)
- 2θ = 22.25°, 3.995 Å, rel. 19.2
- 2θ = 22.48°, 3.956 Å, rel. 19.0
- 2θ = 30.44°, 2.936 Å, rel. 34.9
- 2θ = 35.86°, 2.504 Å, rel. 19.8
- 2θ = 36.30°, 2.475 Å, rel. 19.2
- 2θ = 39.93°, 2.258 Å, rel. 45.2
- 2θ = 40.60°, 2.222 Å, rel. 100.0
- 2θ = 40.76°, 2.214 Å, rel. 51.7
- 2θ = 40.86°, 2.208 Å, rel. 97.7
- 2θ = 73.91°, 1.282 Å, rel. 24.2

Record 4
For Tl3Au, a structure optimized by DFT (PBE) gives the theoretical powder diffraction line list in this record (a wavelength of 1.5418 Å).
Lines closer than 0.1° are merged.

Structural model:
```
Tl3Au
1.0
-2.380 2.380 4.824
2.380 -2.380 4.824
2.380 2.380 -4.824
Tl Au
3 1
Direct
0.000 0.000 0.000
0.250 0.750 0.500
0.750 0.250 0.500
0.500 0.500 0.000
```

Peak list (10 most intense, 10 to 90 degrees two-theta, low angle first)
- 2θ = 32.43°, 2.761 Å, rel. 100.0
- 2θ = 37.28°, 2.412 Å, rel. 17.3
- 2θ = 37.79°, 2.380 Å, rel. 33.3
- 2θ = 54.13°, 1.694 Å, rel. 24.0
- 2θ = 54.52°, 1.683 Å, rel. 11.8
- 2θ = 64.19°, 1.451 Å, rel. 14.5
- 2θ = 64.88°, 1.437 Å, rel. 28.1
- 2θ = 67.90°, 1.380 Å, rel. 12.3
- 2θ = 89.09°, 1.099 Å, rel. 12.6
- 2θ = 89.72°, 1.093 Å, rel. 6.3

Record 5
For Tb4PmSm3, a structure optimized by DFT (PBE) gives the theoretical powder diffraction line list in this record (a wavelength of 1.5418 Å).
Lines closer than 0.1° are merged.

Structural model:
```
Tb4PmSm3
1.0
10.163 0.000 0.000
0.000 7.202 0.000
0.000 0.000 7.198
Tb Pm Sm
8 2 6
Direct
0.000 0.000 0.000
0.000 0.500 0.500
0.250 0.250 0.250
0.250 0.750 0.750
0.500 0.000 0.500
0.500 0.500 0.000
0.750 0.250 0.250
0.750 0.750 0.750
0.000 0.000 0.500
0.500 0.000 0.000
0.000 0.500 0.000
0.250 0.250 0.750
0.250 0.750 0.250
0.500 0.500 0.500
0.750 0.250 0.750
0.750 0.750 0.250
```

Peak list (10 most intense, 10 to 90 degrees two-theta, low angle first)
- 2θ = 30.43°, 2.938 Å, rel. 100.0
- 2θ = 35.28°, 2.544 Å, rel. 50.7
- 2θ = 50.75°, 1.799 Å, rel. 36.2
- 2θ = 60.32°, 1.534 Å, rel. 35.9
- 2θ = 60.40°, 1.533 Å, rel. 7.1
- 2θ = 63.32°, 1.469 Å, rel. 12.4
- 2θ = 82.65°, 1.167 Å, rel. 11.8
- 2θ = 82.70°, 1.167 Å, rel. 5.9
- 2θ = 85.27°, 1.138 Å, rel. 11.0
- 2θ = 85.41°, 1.137 Å, rel. 5.5

Record 6
For NdEr5Sc5, a structure optimized by DFT (PBE) gives the theoretical powder diffraction line list in this record (a wavelength of 1.5418 Å).
Lines closer than 0.1° are merged.

Structural model:
```
NdEr5Sc5
1.0
5.781 0.000 0.000
-2.891 5.007 0.000
0.000 0.000 11.260
Nd Er Sc
1 5 5
Direct
0.000 0.000 0.000
0.000 0.000 0.324
0.000 0.000 0.676
0.333 0.667 0.163
0.333 0.667 0.837
0.667 0.333 0.000
0.502 0.004 0.500
0.502 0.498 0.500
0.667 0.333 0.269
0.667 0.333 0.731
0.996 0.498 0.500
```

Peak list (10 most intense, 10 to 90 degrees two-theta, low angle first)
- 2θ = 23.77°, 3.743 Å, rel. 16.0
- 2θ = 29.75°, 3.003 Å, rel. 100.0
- 2θ = 30.94°, 2.891 Å, rel. 85.6
- 2θ = 31.97°, 2.800 Å, rel. 20.5
- 2θ = 39.36°, 2.289 Å, rel. 17.2
- 2θ = 43.45°, 2.083 Å, rel. 24.5
- 2θ = 54.29°, 1.690 Å, rel. 37.5
- 2θ = 55.03°, 1.669 Å, rel. 16.9
- 2θ = 58.65°, 1.574 Å, rel. 19.4
- 2θ = 72.59°, 1.302 Å, rel. 15.5

Q: What is the formula in the first record?
A: Y5Ir3